Structure and simulated powder diffractogram of VGaAgO4 (a cell relaxed with GGA+U; a wavelength of 1.5418 Å).

Structural model:
```
14
Lattice="3.3801 -5.2940 0.0000 3.3801 5.2940 0.0000 0.0000 0.0000 6.2779" Properties=species:S:1:pos:R:3 pbc="T T T"
V 3.3801 3.8196 4.7084
V 3.3801 -3.8196 1.5695
Ga 3.3801 3.9694 1.5695
Ga 3.3801 -3.9694 4.7084
Ag 3.3801 0.1567 1.5695
Ag 3.3801 -0.1567 4.7084
O 1.2657 0.0999 1.5695
O 1.2657 -0.0999 4.7084
O 3.3801 2.9706 0.0187
O 3.3801 2.9706 3.1203
O 3.3801 -2.9706 3.1576
O 3.3801 -2.9706 6.2592
O 5.4945 0.0999 1.5695
O 5.4945 -0.0999 4.7084
```

Top 6 peaks for 2θ from 10° to 80°, low angle first:
2theta, I/Imax
16.7, 27
26.4, 52
28.5, 100
33.2, 26
40.7, 31
47.9, 19